# Cd4Te3S
Calculated powder diffractogram, CuKα. Input: DFT lattice parameters and positions (PBE).

Top 12 peaks for 10° ≤ 2θ ≤ 80°, low angle first:
h k l, Position (°2θ), d_spacing, I_rel
2 1 0, 22.6, 3.937, 100
0 0 2, 23.9, 3.725, 57
2 1 1, 25.6, 3.481, 66
2 1 2, 33.1, 2.706, 36
4 0 0, 39.7, 2.273, 87
2 1 3, 43.1, 2.100, 87
0 4 0, 46.1, 1.968, 14
4 0 2, 46.8, 1.940, 51
4 2 3, 60.0, 1.543, 30
0 2 5, 67.2, 1.393, 20
6 3 0, 72.0, 1.312, 13
6 1 3, 74.3, 1.276, 30

Cell: 9.0937 7.8716 7.4496 Å, 90.00 90.00 90.00°
Element x y z (fractional)
Cd (0.0000, 0.1379, 0.0000)
Cd (0.0000, 0.8270, 0.5365)
Cd (0.2342, 0.6754, 0.9985)
Cd (0.2658, 0.3246, 0.4985)
Cd (0.5000, 0.1730, 0.0365)
Cd (0.5000, 0.8621, 0.5000)
Cd (0.7342, 0.3246, 0.4985)
Cd (0.7658, 0.6754, 0.9985)
Te (0.0000, 0.1594, 0.3834)
Te (0.2481, 0.3299, 0.8821)
Te (0.2519, 0.6701, 0.3821)
Te (0.5000, 0.8406, 0.8834)
Te (0.7481, 0.6701, 0.3821)
Te (0.7519, 0.3299, 0.8821)
S (0.0000, 0.8286, 0.8836)
S (0.5000, 0.1714, 0.3836)